Y2TiCuO6: computed X-ray diffraction stick pattern (Cu Kα (λ = 1.5418 Å)), based on DFT lattice parameters and positions (PBE).

The 6 most intense peaks (5° ≤ 2θ ≤ 70°), in order of rising 2θ:
2θ (°)	Rel. int.	index
28.4	33	1 0 0
29.5	69	1 0 1
31.5	39	0 0 4
32.6	100	1 0 2
50.3	63	1 1 0
60.6	33	1 1 4

Structural model:
abc: 3.630 3.630 11.351
angles: 90.00 90.00 120.00
Sites, in units of the cell vectors:
1 Y 0.000 0.000 0.227
2 Y 0.000 0.000 0.773
3 Ti 0.667 0.333 0.500
4 Cu 0.333 0.667 0.000
5 O 0.000 0.000 0.000
6 O 0.000 0.000 0.500
7 O 0.333 0.667 0.167
8 O 0.333 0.667 0.833
9 O 0.667 0.333 0.335
10 O 0.667 0.333 0.665